Computed powder X-ray diffraction pattern of Cs2AgHg6Pt for λ = 1.5418 Å (Cu Kα), from a GGA-PBE-relaxed structure.
Peak positions follow from Bragg's law for the DFT cell and can differ from measured ones.

Cell and atoms:
Cell lengths 5.519, 5.519, 11.073 Å; angles 90.00, 90.00, 90.00 degrees
Space group P4/mmm (No. 123)
Unique sites:
1 Cs 0.000 0.000 0.248 x2
2 Ag 0.500 0.500 0.500 x1
3 Hg 0.000 0.500 0.000 x2
4 Hg 0.000 0.500 0.500 x2
5 Hg 0.500 0.500 0.245 x2
6 Pt 0.500 0.500 0.000 x1

Top 8 peaks for 10 to 80 degrees two-theta, sorted by position:
Position (°2θ)	d_spacing	intensity	index
16.04	5.525	40	0 0 2
27.97	3.190	100	1 1 2
32.34	2.768	40	0 0 4
32.45	2.759	80	2 0 0
46.49	1.953	89	2 2 0
55.18	1.664	31	3 1 2
57.81	1.595	31	2 2 4
77.29	1.234	27	4 2 0

Computed powder X-ray diffraction pattern of CsRbAgHg for λ = 1.5418 Å (Cu Kα), from a GGA-PBE-relaxed structure.
Peak positions follow from Bragg's law for the DFT cell and can differ from measured ones.

Cell and atoms:
Cell lengths 5.1440, 5.1440, 26.9858 Å; angles 90.00, 90.00, 120.00 degrees
Space group R3m (No. 160, hexagonal axes)
Unique sites:
1 Cs 0.0000 0.0000 0.0000 x3
2 Rb 0.0000 0.0000 0.1727 x3
3 Ag 0.0000 0.0000 0.4235 x3
4 Hg 0.0000 0.0000 0.7571 x3

Top 8 peaks for 10 to 80 degrees two-theta, sorted by position:
Position (°2θ)	d_spacing	intensity	index
23.94	3.717	81	1 0 4
25.93	3.436	100	0 1 5
30.67	2.915	50	1 0 7
33.32	2.689	27	0 1 8
34.88	2.572	98	1 1 0
36.33	2.473	57	1 1 3
46.52	1.952	40	1 1 9
54.18	1.693	52	1 1 12

Computed powder X-ray diffraction pattern of CsAgHgTe2 for λ = 1.5418 Å (Cu Kα), from a GGA-PBE-relaxed structure.
Peak positions follow from Bragg's law for the DFT cell and can differ from measured ones.

Cell and atoms:
Cell lengths 14.841, 4.769, 11.122 Å; angles 90.00, 101.27, 90.00 degrees
Space group C2/m (No. 12)
Unique sites:
1 Cs 0.164 0.000 0.184 x4
2 Ag 0.152 0.000 0.579 x4
3 Hg 0.039 0.500 0.699 x4
4 Te 0.121 0.000 0.824 x4
5 Te 0.140 0.500 0.441 x4

Top 8 peaks for 10 to 80 degrees two-theta, sorted by position:
Position (°2θ)	d_spacing	intensity	index
24.47	3.638	36	4 0 0
26.20	3.401	74	3 1 0
30.57	2.924	100	1 1 -3
31.19	2.867	47	4 0 -3
32.89	2.723	42	3 1 2
37.73	2.384	53	0 2 0
42.42	2.131	28	5 1 2
47.33	1.920	28	1 1 5

Computed powder X-ray diffraction pattern of CsAg6I8 for λ = 1.5418 Å (Cu Kα), from a GGA-PBE-relaxed structure.
Peak positions follow from Bragg's law for the DFT cell and can differ from measured ones.

Cell and atoms:
Cell lengths 12.2960, 12.2960, 13.0107 Å; angles 90.00, 90.00, 120.00 degrees
Space group R-3 (No. 148, hexagonal axes)
Unique sites:
1 Cs 0.0000 0.0000 0.0000 x3
2 Ag 0.0590 0.8125 0.6203 x18
3 I 0.0000 0.0000 0.3239 x6
4 I 0.0211 0.7160 0.1178 x18

Top 8 peaks for 10 to 80 degrees two-theta, sorted by position:
Position (°2θ)	d_spacing	intensity	index
21.57	4.120	24	2 0 2
25.11	3.547	100	3 0 0
26.03	3.423	57	1 2 2
35.80	2.508	34	4 -2 3
38.75	2.324	18	4 1 0
39.40	2.287	14	2 3 2
44.25	2.047	79	2 -1 6
45.62	1.989	18	2 4 1

Computed powder X-ray diffraction pattern of Cs5AgI4 for λ = 1.5418 Å (Cu Kα), from a GGA-PBE-relaxed structure.
Peak positions follow from Bragg's law for the DFT cell and can differ from measured ones.

Cell and atoms:
Cell lengths 5.540, 5.540, 39.176 Å; angles 90.00, 90.00, 90.00 degrees
Space group I4/mmm (No. 139)
Unique sites:
1 Cs 0.000 0.000 0.000 x2
2 Cs 0.000 0.000 0.200 x4
3 Cs 0.000 0.000 0.400 x4
4 Ag 0.000 0.000 0.500 x2
5 I 0.000 0.000 0.100 x4
6 I 0.000 0.000 0.300 x4

Top 8 peaks for 10 to 80 degrees two-theta, sorted by position:
Position (°2θ)	d_spacing	intensity	index
22.70	3.917	100	1 1 0
32.32	2.770	81	2 0 0
39.86	2.262	30	2 0 10
46.36	1.959	14	2 2 0
52.21	1.752	41	3 1 0
57.64	1.599	30	3 1 10
72.37	1.306	19	4 0 10
76.97	1.239	13	4 2 0

Computed powder X-ray diffraction pattern of Cs7AgI5 for λ = 1.5418 Å (Cu Kα), from a GGA-PBE-relaxed structure.
Peak positions follow from Bragg's law for the DFT cell and can differ from measured ones.

Cell and atoms:
Cell lengths 18.520, 5.407, 33.050 Å; angles 90.00, 90.15, 90.00 degrees
Space group Cm (No. 8)
Unique sites:
1 Cs 0.000 0.000 0.000 x2
2 Cs 0.000 0.000 0.142 x2
3 Cs 0.052 0.500 0.857 x2
4 Cs 0.053 0.500 0.285 x2
5 Cs 0.101 0.000 0.712 x2
6 Cs 0.103 0.000 0.429 x2
7 Cs 0.140 0.500 0.571 x2
8 Cs 0.239 0.500 0.071 x2
9 Cs 0.277 0.000 0.213 x2
10 Cs 0.277 0.000 0.930 x2
11 Cs 0.326 0.500 0.785 x2
12 Cs 0.327 0.500 0.357 x2
13 Cs 0.378 0.000 0.642 x2
14 Cs 0.380 0.000 0.501 x2
15 Ag 0.395 0.000 0.070 x2
16 Ag 0.484 0.500 0.572 x2
17 I 0.142 0.500 0.177 x2
18 I 0.142 0.500 0.965 x2
19 I 0.189 0.000 0.821 x2
20 I 0.190 0.000 0.321 x2
21 I 0.236 0.500 0.677 x2
22 I 0.238 0.500 0.465 x2
23 I 0.414 0.500 0.249 x2
24 I 0.414 0.500 0.893 x2
25 I 0.464 0.000 0.749 x2
26 I 0.466 0.000 0.394 x2

Top 8 peaks for 10 to 80 degrees two-theta, sorted by position:
Position (°2θ)	d_spacing	intensity	index
21.12	4.206	71	2 0 7
22.51	3.950	100	3 1 2
23.31	3.816	100	3 1 -3
23.58	3.773	43	2 0 8
29.80	2.998	42	1 1 9
32.11	2.788	44	1 1 -10
32.27	2.774	45	5 1 5
33.15	2.703	52	0 2 0

Computed powder X-ray diffraction pattern of Cs3AgI4 for λ = 1.5418 Å (Cu Kα), from a GGA-PBE-relaxed structure.
Peak positions follow from Bragg's law for the DFT cell and can differ from measured ones.

Cell and atoms:
Cell lengths 12.545, 10.231, 7.740 Å; angles 90.00, 90.00, 90.00 degrees
Space group Pmn2_1 (No. 31)
Unique sites:
1 Cs 0.000 0.116 0.000 x2
2 Cs 0.223 0.335 0.507 x4
3 Ag 0.000 0.805 0.414 x2
4 I 0.000 0.085 0.500 x2
5 I 0.000 0.758 0.048 x2
6 I 0.213 0.709 0.513 x4

Top 8 peaks for 10 to 80 degrees two-theta, sorted by position:
Position (°2θ)	d_spacing	intensity	index
16.58	5.347	95	2 1 0
17.34	5.115	53	0 2 0
22.98	3.870	100	0 0 2
28.46	3.136	95	4 0 0
29.82	2.996	54	2 3 0
35.84	2.505	40	1 3 2
36.89	2.437	41	4 0 2
37.98	2.369	38	2 3 2

Computed powder X-ray diffraction pattern of CsInAg2I6 for λ = 1.5418 Å (Cu Kα), from a GGA-PBE-relaxed structure.
Peak positions follow from Bragg's law for the DFT cell and can differ from measured ones.

Cell and atoms:
Cell lengths 7.699, 8.379, 8.709 Å; angles 66.90, 69.20, 85.50 degrees
Space group P1 (No. 1)
Unique sites:
1 Cs 0.000 0.000 0.000 x1
2 In 0.734 0.663 0.689 x1
3 Ag 0.303 0.569 0.369 x1
4 Ag 0.305 0.984 0.460 x1
5 I 0.352 0.662 0.763 x1
6 I 0.392 0.245 0.548 x1
7 I 0.444 0.907 0.156 x1
8 I 0.796 0.461 0.997 x1
9 I 0.894 0.998 0.561 x1
10 I 0.902 0.542 0.419 x1

Top 8 peaks for 10 to 80 degrees two-theta, sorted by position:
Position (°2θ)	d_spacing	intensity	index
11.81	7.493	47	0 0 1
21.95	4.049	82	0 1 2
22.55	3.942	48	1 0 2
23.14	3.844	43	0 2 0
23.39	3.804	40	2 0 1
24.80	3.589	100	2 0 0
25.92	3.438	70	0 2 2
42.05	2.149	43	1 1 4

Computed powder X-ray diffraction pattern of CsNbAg2I8 for λ = 1.5418 Å (Cu Kα), from a GGA-PBE-relaxed structure.
Peak positions follow from Bragg's law for the DFT cell and can differ from measured ones.

Cell and atoms:
Cell lengths 7.218, 8.704, 9.565 Å; angles 107.70, 96.90, 92.85 degrees
Space group P-1 (No. 2)
Unique sites:
1 Cs 0.000 0.000 0.000 x1
2 Nb 0.000 0.500 0.500 x1
3 Ag 0.471 0.525 0.160 x2
4 I 0.081 0.484 0.215 x2
5 I 0.202 0.798 0.615 x2
6 I 0.321 0.347 0.550 x2
7 I 0.486 0.783 0.036 x2

Top 8 peaks for 10 to 80 degrees two-theta, sorted by position:
Position (°2θ)	d_spacing	intensity	index
10.71	8.258	100	0 1 0
17.63	5.030	37	1 -1 1
24.25	3.670	34	0 2 -2
25.51	3.492	44	2 0 -1
25.90	3.440	41	1 2 0
27.75	3.215	46	-1 2 1
28.20	3.164	50	2 0 1
42.34	2.135	41	1 -2 4

Computed powder X-ray diffraction pattern of Cs3AgI2O8 for λ = 1.5418 Å (Cu Kα), from a GGA-PBE-relaxed structure.
Peak positions follow from Bragg's law for the DFT cell and can differ from measured ones.

Cell and atoms:
Cell lengths 6.5396, 6.5396, 8.4667 Å; angles 90.00, 90.00, 120.00 degrees
Space group P-3m1 (No. 164)
Unique sites:
1 Cs 0.0000 0.0000 0.0000 x1
2 Cs 0.3333 0.6667 0.6795 x2
3 Ag 0.0000 0.0000 0.5000 x1
4 I 0.3333 0.6667 0.2459 x2
5 O 0.1752 0.3503 0.3244 x6
6 O 0.3333 0.6667 0.0263 x2

Top 8 peaks for 10 to 80 degrees two-theta, sorted by position:
Position (°2θ)	d_spacing	intensity	index
26.28	3.391	81	0 1 2
27.27	3.270	100	1 1 0
38.24	2.354	40	2 0 2
47.60	1.910	31	1 2 2
48.20	1.888	20	3 0 0
51.43	1.777	13	1 1 4
56.27	1.635	17	2 2 0
63.13	1.473	14	3 1 2

Computed powder X-ray diffraction pattern of Cs2AgIO4 for λ = 1.5418 Å (Cu Kα), from a GGA-PBE-relaxed structure.
Peak positions follow from Bragg's law for the DFT cell and can differ from measured ones.

Cell and atoms:
Cell lengths 6.701, 6.701, 8.489 Å; angles 90.00, 90.00, 90.00 degrees
Space group I-4 (No. 82)
Unique sites:
1 Cs 0.000 0.000 0.000 x2
2 Cs 0.000 0.500 0.250 x2
3 Ag 0.000 0.500 0.750 x2
4 I 0.000 0.000 0.500 x2
5 O 0.132 0.788 0.625 x8

Top 8 peaks for 10 to 80 degrees two-theta, sorted by position:
Position (°2θ)	d_spacing	intensity	index
26.60	3.351	50	2 0 0
28.23	3.162	100	1 1 2
37.98	2.369	23	2 2 0
47.98	1.896	45	3 1 2
50.94	1.793	21	2 0 4
58.38	1.581	12	2 2 4
61.92	1.498	11	4 2 0
75.77	1.255	12	5 1 2

Computed powder X-ray diffraction pattern of Cs2PaAgI6 for λ = 1.5418 Å (Cu Kα), from a GGA-PBE-relaxed structure.
Peak positions follow from Bragg's law for the DFT cell and can differ from measured ones.

Cell and atoms:
Cell lengths 8.7335, 8.7335, 42.1587 Å; angles 90.00, 90.00, 120.00 degrees
Space group R-3m (No. 166, hexagonal axes)
Unique sites:
1 Cs 0.0000 0.0000 0.1249 x6
2 Cs 0.0000 0.0000 0.2916 x6
3 Pa 0.0000 0.0000 0.0000 x3
4 Pa 0.0000 0.0000 0.5000 x3
5 Ag 0.0000 0.0000 0.4222 x6
6 I 0.0027 0.5014 0.2911 x18
7 I 0.0169 0.5084 0.8732 x18

Top 8 peaks for 10 to 80 degrees two-theta, sorted by position:
Position (°2θ)	d_spacing	intensity	index
12.43	7.119	44	0 1 2
20.34	4.367	27	1 1 0
25.82	3.451	70	2 0 5
27.86	3.203	100	0 2 7
31.79	2.815	30	0 2 10
38.20	2.356	31	2 0 14
41.35	2.183	64	2 2 0
68.56	1.369	26	2 2 24

Computed powder X-ray diffraction pattern of Cs2AgPbI6 for λ = 1.5418 Å (Cu Kα), from a GGA-PBE-relaxed structure.
Peak positions follow from Bragg's law for the DFT cell and can differ from measured ones.

Cell and atoms:
Cell lengths 6.185, 6.185, 12.073 Å; angles 90.00, 90.00, 90.00 degrees
Space group P4/mmm (No. 123)
Unique sites:
1 Cs 0.000 0.000 0.229 x2
2 Ag 0.500 0.500 0.000 x1
3 Pb 0.500 0.500 0.500 x1
4 I 0.000 0.500 0.000 x2
5 I 0.000 0.500 0.500 x2
6 I 0.500 0.500 0.239 x2

Top 8 peaks for 10 to 80 degrees two-theta, sorted by position:
Position (°2θ)	d_spacing	intensity	index
14.32	6.185	28	1 0 0
20.56	4.320	26	1 0 2
25.15	3.542	76	1 1 2
28.87	3.092	100	2 0 0
29.60	3.018	44	0 0 4
41.29	2.187	38	2 2 0
41.82	2.160	68	2 0 4
51.62	1.771	36	2 2 4